(1)
This entry pairs a crystal structure of TbAl4Au4 with its calculated powder XRD pattern. Radiation: Cu Ka. Structure: a PBE-relaxed structure.
Kinematic intensities with the Lorentz-polarization factor, no thermal factor.

Top 10 peaks for 10° ≤ 2θ ≤ 90°, in order of rising 2θ:
2θ/deg  I/Imax
20.09  28
28.61  18
30.41  100
33.68  72
40.95  25
42.20  28
43.44  18
46.01  40
53.99  18
68.10  18

```
TbAl4Au4
1.0
6.234 0.000 0.000
0.000 6.234 0.000
0.000 0.000 8.841
Tb Al Au
2 8 8
Direct
0.250 0.750 0.250
0.750 0.250 0.750
0.028 0.250 0.156
0.250 0.028 0.656
0.250 0.472 0.656
0.472 0.250 0.156
0.528 0.750 0.844
0.750 0.528 0.344
0.750 0.972 0.344
0.972 0.750 0.844
0.021 0.250 0.450
0.250 0.021 0.950
0.250 0.479 0.950
0.479 0.250 0.450
0.521 0.750 0.550
0.750 0.521 0.050
0.750 0.979 0.050
0.979 0.750 0.550
```

***

(2)
This entry pairs a crystal structure of Tb2AlAu4 with its calculated powder XRD pattern. Radiation: Cu Ka. Structure: a PBE-relaxed structure.
Kinematic intensities with the Lorentz-polarization factor, no thermal factor.

Top 10 peaks for 10° ≤ 2θ ≤ 90°, in order of rising 2θ:
2θ/deg  I/Imax
22.94  11
23.57  13
23.69  28
33.62  22
36.25  100
39.54  70
39.90  34
42.32  18
55.04  21
72.21  12

```
Tb2AlAu4
1.0
7.920 0.000 0.000
0.000 4.519 0.000
-2.703 0.000 8.504
Tb Al Au
4 2 8
Direct
0.071 0.000 0.223
0.429 0.500 0.777
0.571 0.500 0.223
0.929 0.000 0.777
0.000 0.500 0.500
0.500 0.000 0.500
0.184 0.500 0.056
0.198 0.000 0.591
0.302 0.500 0.409
0.316 0.000 0.944
0.684 0.000 0.056
0.698 0.500 0.591
0.802 0.000 0.409
0.816 0.500 0.944
```

***

(3)
This entry pairs a crystal structure of Tb3Al9Au2 with its calculated powder XRD pattern. Radiation: Cu Ka. Structure: a PBE-relaxed structure.
Kinematic intensities with the Lorentz-polarization factor, no thermal factor.

Top 10 peaks for 10° ≤ 2θ ≤ 90°, in order of rising 2θ:
2θ/deg  I/Imax
14.33  21
21.91  19
22.49  61
28.06  26
34.09  32
34.89  100
35.02  15
36.62  16
42.12  35
55.23  17

```
Tb3Al9Au2
1.0
-2.147 5.124 6.182
2.147 -5.124 6.182
2.147 5.124 -6.182
Tb Al Au
3 9 2
Direct
0.000 0.000 0.000
0.312 0.312 0.000
0.688 0.688 0.000
0.036 0.662 0.374
0.145 0.866 0.278
0.288 0.662 0.626
0.412 0.134 0.278
0.500 0.000 0.500
0.588 0.866 0.722
0.712 0.338 0.374
0.855 0.134 0.722
0.964 0.338 0.626
0.287 0.500 0.787
0.713 0.500 0.213
```